Entry 1:
# Sm3Tl3Cu2
Simulated XRD peak list, a wavelength of 1.5418 Å. Input: a PBE-relaxed structure.
No peak broadening, texture or thermal motion is included.

Most intense lines, 5 to 70 degrees two-theta, in order of rising 2θ:
d_spacing	two_theta	I_rel	(hkl)
3.138	28.44	22.0	1 1 0
3.120	28.61	27.2	-1 1 1
2.877	31.08	32.7	0 0 3
2.661	33.68	100.0	1 -1 2
2.639	33.97	92.9	1 1 3
2.463	36.47	49.6	0 2 1
2.294	39.27	41.0	2 0 1
1.679	54.67	31.1	2 2 2
1.530	60.52	13.9	1 1 6
1.461	63.69	17.0	1 -3 1
1.450	64.23	13.6	1 3 4
1.383	67.73	12.9	3 -1 3

Crystal structure
abc: 4.5881 4.9271 9.2307
angles: 75.22 75.75 89.99
Space group P-1 (No. 2)
One atom of each set of equivalent atoms:
Sm: 0.0000 0.0000 0.0000 (multiplicity 1)
Sm: 0.1526 0.6418 0.6949 (multiplicity 2)
Tl: 0.3505 0.8550 0.2956 (multiplicity 2)
Tl: 0.5000 0.5000 0.0000 (multiplicity 1)
Cu: 0.2449 0.2224 0.5148 (multiplicity 2)

Entry 2:
# BaSr2Ca12
Simulated XRD peak list, a wavelength of 1.5418 Å. Input: a PBE-relaxed structure.
No peak broadening, texture or thermal motion is included.

Most intense lines, 5 to 70 degrees two-theta, in order of rising 2θ:
d_spacing	two_theta	I_rel	(hkl)
5.087	17.43	21.0	1 1 0
4.489	19.78	26.1	1 1 3
4.146	21.43	36.3	1 1 4
4.089	21.73	29.5	0 0 7
3.488	25.54	21.9	2 0 2
3.366	26.48	75.6	2 0 3
3.214	27.76	46.7	2 0 4
3.187	27.99	100.0	1 1 7
3.139	28.43	25.7	2 1 2
2.543	35.29	41.2	2 2 0
2.213	40.78	21.0	3 1 3
1.988	45.64	32.1	3 1 7

Crystal structure
abc: 7.1939 7.1939 28.6264
angles: 90.00 90.00 90.00
Space group P4/nbm (No. 125, origin choice 2)
One atom of each set of equivalent atoms:
Ba: 0.2500 0.7500 0.0000 (multiplicity 2)
Sr: 0.2500 0.7500 0.2867 (multiplicity 4)
Ca: 0.0579 0.5579 0.1251 (multiplicity 8)
Ca: 0.0754 0.5754 0.5578 (multiplicity 8)
Ca: 0.2500 0.2500 0.2208 (multiplicity 4)
Ca: 0.2500 0.2500 0.3491 (multiplicity 4)

Entry 3:
# HfV4
Simulated XRD peak list, a wavelength of 1.5418 Å. Input: a PBE-relaxed structure.
No peak broadening, texture or thermal motion is included.

Most intense lines, 5 to 70 degrees two-theta, in order of rising 2θ:
d_spacing	two_theta	I_rel	(hkl)
4.626	19.19	100.0	1 0 0
3.271	27.27	85.8	1 1 0
2.671	33.56	0.8	1 1 1
2.313	38.94	76.3	2 0 0
2.069	43.76	48.6	2 1 0
1.888	48.19	36.8	2 1 1
1.635	56.25	49.7	2 2 0
1.542	60.00	24.0	3 0 0
1.463	63.61	16.1	3 1 0

Crystal structure
abc: 4.6255 4.6255 4.6255
angles: 90.00 90.00 90.00
Space group Pm-3m (No. 221)
One atom of each set of equivalent atoms:
Hf: 0.0000 0.0000 0.0000 (multiplicity 1)
V: 0.0000 0.0000 0.5000 (multiplicity 3)
V: 0.5000 0.5000 0.5000 (multiplicity 1)

Entry 4:
# Na2Hg2I7
Simulated XRD peak list, a wavelength of 1.5418 Å. Input: a PBE-relaxed structure.
No peak broadening, texture or thermal motion is included.

Most intense lines, 5 to 70 degrees two-theta, in order of rising 2θ:
d_spacing	two_theta	I_rel	(hkl)
6.852	12.92	56.6	0 2 0
4.931	17.99	51.5	0 2 1
4.752	18.67	100.0	2 0 0
4.645	19.11	60.9	1 1 1
3.815	23.32	52.1	1 3 -1
3.468	25.69	58.5	2 0 -2
3.426	26.01	43.4	0 4 0
3.253	27.42	51.3	3 1 -1
3.085	28.95	54.2	3 1 0
2.937	30.44	64.0	1 1 2
2.372	37.93	52.7	4 2 -1
2.283	39.46	43.3	0 6 0

Crystal structure
abc: 10.1084 13.7050 7.5564
angles: 90.00 109.96 90.00
Space group C2/m (No. 12)
One atom of each set of equivalent atoms:
Na: 0.0000 0.2035 0.0000 (multiplicity 4)
Hg: 0.2385 0.0000 0.6168 (multiplicity 4)
I: 0.0000 0.5000 0.5000 (multiplicity 2)
I: 0.1501 0.0000 0.1967 (multiplicity 4)
I: 0.2157 0.1843 0.7488 (multiplicity 8)

Entry 5:
# Sr3ZnPd8
Simulated XRD peak list, a wavelength of 1.5418 Å. Input: a PBE-relaxed structure.
No peak broadening, texture or thermal motion is included.

Most intense lines, 5 to 70 degrees two-theta, in order of rising 2θ:
d_spacing	two_theta	I_rel	(hkl)
4.524	19.62	25.7	0 1 2
2.774	32.27	20.0	1 1 0
2.365	38.05	49.5	2 0 2
2.358	38.16	100.0	1 1 6
2.345	38.39	41.4	1 0 10
2.262	39.85	71.6	0 2 4
2.239	40.28	25.2	0 0 12
1.954	46.48	20.3	2 0 8
1.508	61.49	24.0	3 0 6
1.505	61.65	22.1	2 1 10
1.387	67.54	29.0	2 2 0
1.376	68.13	22.5	0 2 16

Crystal structure
abc: 5.5479 5.5479 26.8653
angles: 90.00 90.00 120.00
Space group R3m (No. 160, hexagonal axes)
One atom of each set of equivalent atoms:
Sr: 0.0000 0.0000 0.0000 (multiplicity 3)
Sr: 0.0000 0.0000 0.1295 (multiplicity 3)
Sr: 0.0000 0.0000 0.6137 (multiplicity 3)
Zn: 0.0000 0.0000 0.4848 (multiplicity 3)
Pd: 0.0000 0.0000 0.3120 (multiplicity 3)
Pd: 0.0000 0.0000 0.8129 (multiplicity 3)
Pd: 0.9998 0.4999 0.5609 (multiplicity 9)
Pd: 0.0024 0.5012 0.0639 (multiplicity 9)

Entry 6:
# Tm3AlCu4
Simulated XRD peak list, a wavelength of 1.5418 Å. Input: a PBE-relaxed structure.
No peak broadening, texture or thermal motion is included.

Most intense lines, 5 to 70 degrees two-theta, in order of rising 2θ:
d_spacing	two_theta	I_rel	(hkl)
3.717	23.94	67.4	0 1 3
3.216	27.74	16.5	0 2 0
3.203	27.86	18.2	1 1 0
2.900	30.84	100.0	1 1 2
2.388	37.67	51.4	1 2 1
2.339	38.48	45.9	0 2 4
2.197	41.09	51.7	1 0 5
2.141	42.22	20.7	1 2 3
1.940	46.84	29.6	0 3 3
1.847	49.35	22.3	2 0 0
1.789	51.04	24.9	1 3 2
1.507	61.52	17.8	1 1 8

Crystal structure
abc: 3.6930 6.4319 13.6626
angles: 90.00 90.00 90.00
Space group Immm (No. 71)
One atom of each set of equivalent atoms:
Tm: 0.0000 0.0000 0.0000 (multiplicity 2)
Tm: 0.0000 0.5000 0.1912 (multiplicity 4)
Al: 0.0000 0.0000 0.5000 (multiplicity 2)
Cu: 0.0000 0.3046 0.3756 (multiplicity 8)

Entry 7:
# Pm12YTm2
Simulated XRD peak list, a wavelength of 1.5418 Å. Input: a PBE-relaxed structure.
No peak broadening, texture or thermal motion is included.

Most intense lines, 5 to 70 degrees two-theta, in order of rising 2θ:
d_spacing	two_theta	I_rel	(hkl)
3.150	28.33	69.2	2 0 2
3.036	29.42	37.6	2 0 3
2.896	30.88	42.0	2 0 4
2.855	31.33	70.6	1 1 7
2.834	31.57	100.0	0 0 9
2.645	33.89	31.1	2 1 4
2.526	35.54	33.5	2 1 5
2.299	39.19	37.1	2 2 0
2.272	39.66	21.4	2 1 7
1.813	50.34	22.8	2 1 11
1.664	55.20	45.3	3 1 9
1.507	61.56	22.5	2 0 15

Crystal structure
abc: 6.5012 6.5012 25.5021
angles: 90.00 90.00 90.00
Space group P4/nbm (No. 125, origin choice 2)
One atom of each set of equivalent atoms:
Pm: 0.0676 0.5676 0.1153 (multiplicity 8)
Pm: 0.0818 0.5818 0.5622 (multiplicity 8)
Pm: 0.2500 0.2500 0.2161 (multiplicity 4)
Pm: 0.2500 0.2500 0.3373 (multiplicity 4)
Y: 0.2500 0.7500 0.0000 (multiplicity 2)
Tm: 0.2500 0.7500 0.2736 (multiplicity 4)

Entry 8:
# Y4Er3Tm4
Simulated XRD peak list, a wavelength of 1.5418 Å. Input: a PBE-relaxed structure.
No peak broadening, texture or thermal motion is included.

Most intense lines, 5 to 70 degrees two-theta, in order of rising 2θ:
d_spacing	two_theta	I_rel	(hkl)
4.851	18.29	2.3	0 0 8
4.646	19.10	3.7	0 1 3
3.399	26.22	1.8	1 0 3
2.877	31.08	100.0	1 1 0
2.492	36.04	50.4	1 0 11
2.474	36.31	1.8	1 1 8
1.764	51.82	6.3	0 0 22
1.762	51.91	29.6	2 0 0
1.503	61.72	35.1	2 1 11
1.501	61.79	7.0	1 3 0
1.439	64.77	6.5	0 2 22
1.438	64.84	6.0	2 2 0

Crystal structure
abc: 3.5232 4.9786 38.8106
angles: 90.00 90.00 90.00
Space group Immm (No. 71)
One atom of each set of equivalent atoms:
Y: 0.0000 0.0000 0.0457 (multiplicity 4)
Y: 0.0000 0.0000 0.3180 (multiplicity 4)
Er: 0.0000 0.0000 0.1362 (multiplicity 4)
Er: 0.0000 0.0000 0.5000 (multiplicity 2)
Tm: 0.0000 0.0000 0.2276 (multiplicity 4)
Tm: 0.0000 0.0000 0.4087 (multiplicity 4)